Diffraction record for CeBO3. The powder XRD pattern is computed, not measured: it uses a DFT-relaxed cell (PBE, the Materials Project) and a wavelength of 1.5418 Å.
No peak broadening, texture or thermal motion is included.

Structural model:
abc: 5.826 5.112 8.231
angles: 90.00 90.00 90.00
Space group Pnma (No. 62)
Unique sites:
1 Ce 0.243 0.250 0.086 (multiplicity 4)
2 B 0.079 0.250 0.741 (multiplicity 4)
3 O 0.085 0.017 0.826 (multiplicity 8)
4 O 0.091 0.250 0.573 (multiplicity 4)

Principal peaks in the range 5° ≤ 2θ ≤ 70°, by angle:
2θ = 20.5°, d 4.343, I = 17.3; 2θ = 25.6°, d 3.482, I = 100.0; 2θ = 26.5°, d 3.361, I = 49.6; 2θ = 30.7°, d 2.913, I = 15.4; 2θ = 35.1°, d 2.556, I = 15.2; 2θ = 37.2°, d 2.418, I = 45.3; 2θ = 44.5°, d 2.035, I = 36.6; 2θ = 47.3°, d 1.921, I = 15.5; 2θ = 49.0°, d 1.860, I = 27.2; 2θ = 51.5°, d 1.773, I = 20.0

Diffraction record for CeBO3. The powder XRD pattern is computed, not measured: it uses a DFT-relaxed cell (PBE, the Materials Project) and a wavelength of 1.5418 Å.
No peak broadening, texture or thermal motion is included.

Structural model:
abc: 4.136 5.113 6.345
angles: 90.00 108.37 90.00
Space group P2_1/m (No. 11)
Unique sites:
1 Ce 0.115 0.250 0.278 (multiplicity 2)
2 B 0.499 0.750 0.244 (multiplicity 2)
3 O 0.164 0.750 0.109 (multiplicity 2)
4 O 0.343 0.016 0.673 (multiplicity 4)

Principal peaks in the range 5° ≤ 2θ ≤ 70°, by angle:
2θ = 22.7°, d 3.926, I = 23.5; 2θ = 22.8°, d 3.898, I = 100.0; 2θ = 28.7°, d 3.114, I = 23.5; 2θ = 28.8°, d 3.100, I = 68.2; 2θ = 29.7°, d 3.011, I = 41.1; 2θ = 35.1°, d 2.557, I = 18.6; 2θ = 42.2°, d 2.140, I = 32.7; 2θ = 46.9°, d 1.936, I = 17.2; 2θ = 47.4°, d 1.918, I = 43.7; 2θ = 47.7°, d 1.907, I = 17.2

Diffraction record for CeB3O6. The powder XRD pattern is computed, not measured: it uses a DFT-relaxed cell (PBE, the Materials Project) and a wavelength of 1.5418 Å.
No peak broadening, texture or thermal motion is included.

Structural model:
abc: 4.263 11.810 7.308
angles: 90.00 91.36 90.00
Space group P2_1/c (No. 14)
Unique sites:
1 Ce 0.214 0.120 0.381 (multiplicity 4)
2 B 0.194 0.094 0.874 (multiplicity 4)
3 B 0.312 0.622 0.426 (multiplicity 4)
4 B 0.325 0.667 0.788 (multiplicity 4)
5 O 0.155 0.627 0.610 (multiplicity 4)
6 O 0.204 0.524 0.317 (multiplicity 4)
7 O 0.220 0.715 0.306 (multiplicity 4)
8 O 0.253 0.591 0.939 (multiplicity 4)
9 O 0.331 0.169 0.736 (multiplicity 4)
10 O 0.349 0.119 0.048 (multiplicity 4)

Principal peaks in the range 5° ≤ 2θ ≤ 70°, by angle:
2θ = 14.3°, d 6.213, I = 71.7; 2θ = 19.3°, d 4.593, I = 81.5; 2θ = 22.2°, d 4.009, I = 58.2; 2θ = 25.6°, d 3.486, I = 90.8; 2θ = 28.4°, d 3.147, I = 82.7; 2θ = 30.3°, d 2.953, I = 100.0; 2θ = 31.9°, d 2.806, I = 68.2; 2θ = 32.7°, d 2.741, I = 65.4; 2θ = 33.5°, d 2.676, I = 79.5; 2θ = 45.1°, d 2.009, I = 52.0

Diffraction record for CeSiBO5. The powder XRD pattern is computed, not measured: it uses a DFT-relaxed cell (PBE, the Materials Project) and a wavelength of 1.5418 Å.
No peak broadening, texture or thermal motion is included.

Structural model:
abc: 6.8971 6.8971 6.7472
angles: 90.00 90.00 120.00
Space group P3_1 (No. 144)
Unique sites:
1 Ce 0.0003 0.5888 0.0000 (multiplicity 3)
2 Si 0.0018 0.5840 0.5008 (multiplicity 3)
3 B 0.1149 0.0140 0.6406 (multiplicity 3)
4 O 0.0597 0.0532 0.4423 (multiplicity 3)
5 O 0.1398 0.8078 0.6488 (multiplicity 3)
6 O 0.1487 0.5436 0.3361 (multiplicity 3)
7 O 0.3494 0.1950 0.6907 (multiplicity 3)
8 O 0.5261 0.1369 0.3281 (multiplicity 3)

Principal peaks in the range 5° ≤ 2θ ≤ 70°, by angle:
2θ = 19.9°, d 4.472, I = 96.9; 2θ = 25.8°, d 3.449, I = 89.8; 2θ = 29.9°, d 2.987, I = 58.3; 2θ = 30.4°, d 2.937, I = 100.0; 2θ = 40.1°, d 2.249, I = 18.3; 2θ = 40.3°, d 2.236, I = 24.1; 2θ = 42.2°, d 2.141, I = 58.6; 2θ = 48.5°, d 1.876, I = 69.4; 2θ = 55.5°, d 1.657, I = 25.5; 2θ = 69.6°, d 1.351, I = 21.3